1.
Diffraction record for BaNa5I7. The powder X-ray diffraction pattern is simulated, not measured: it uses DFT lattice parameters and positions (PBE) and copper Kα.

Unit cell a=8.063 b=8.063 c=27.054 alpha=90.02 beta=90.02 gamma=34.23
Fractional positions:
Ba1 0.000 0.000 0.000
Ba2 0.591 0.591 0.501
Na1 0.071 0.071 0.680
Na2 0.072 0.072 0.321
Na3 0.256 0.256 0.109
Na4 0.256 0.256 0.892
Na5 0.334 0.334 0.609
Na6 0.335 0.335 0.392
Na7 0.519 0.519 0.180
Na8 0.519 0.519 0.821
Na9 0.795 0.795 0.750
Na10 0.796 0.796 0.250
I1 0.160 0.160 0.786
I2 0.161 0.161 0.215
I3 0.256 0.256 0.500
I4 0.336 0.336 0.000
I5 0.430 0.430 0.715
I6 0.431 0.431 0.286
I7 0.610 0.610 0.076
I8 0.611 0.611 0.924
I9 0.701 0.701 0.639
I10 0.702 0.702 0.361
I11 0.889 0.889 0.139
I12 0.889 0.889 0.861
I13 0.980 0.980 0.576
I14 0.981 0.981 0.425

Peak list (10 most intense, 2θ = 15–90°, in order of rising 2θ)
2θ (°)	I/Imax
23.6	46
25.6	44
25.8	100
26.4	91
27.4	70
37.9	35
38.6	23
38.8	42
46.4	44
62.5	25

=====

2.
Diffraction record for Ba2NaI5. The powder X-ray diffraction pattern is simulated, not measured: it uses DFT lattice parameters and positions (PBE) and copper Kα.

Unit cell a=12.647 b=5.433 c=23.598 alpha=90.00 beta=90.00 gamma=90.00
Fractional positions:
Ba1 0.142 0.250 0.067
Ba2 0.186 0.250 0.755
Ba3 0.314 0.750 0.255
Ba4 0.358 0.750 0.567
Ba5 0.642 0.250 0.433
Ba6 0.686 0.250 0.745
Ba7 0.814 0.750 0.245
Ba8 0.858 0.750 0.933
Na1 0.063 0.250 0.432
Na2 0.437 0.750 0.932
Na3 0.563 0.250 0.068
Na4 0.937 0.750 0.568
I1 0.072 0.750 0.171
I2 0.120 0.750 0.977
I3 0.131 0.750 0.482
I4 0.135 0.750 0.662
I5 0.208 0.250 0.322
I6 0.292 0.750 0.822
I7 0.365 0.250 0.162
I8 0.369 0.250 0.982
I9 0.380 0.250 0.477
I10 0.428 0.250 0.671
I11 0.572 0.750 0.329
I12 0.620 0.750 0.523
I13 0.631 0.750 0.018
I14 0.635 0.750 0.838
I15 0.708 0.250 0.178
I16 0.792 0.750 0.678
I17 0.865 0.250 0.338
I18 0.869 0.250 0.518
I19 0.880 0.250 0.023
I20 0.928 0.250 0.829

Peak list (10 most intense, 2θ = 15–90°, in order of rising 2θ)
2θ (°)	I/Imax
18.0	24
19.9	41
23.3	88
26.0	32
28.2	23
30.8	48
31.4	100
33.0	61
44.0	27
57.9	27

=====

3.
Diffraction record for RbBaNaI4. The powder X-ray diffraction pattern is simulated, not measured: it uses DFT lattice parameters and positions (PBE) and copper Kα.

Unit cell a=8.573 b=8.538 c=10.137 alpha=90.00 beta=107.47 gamma=90.00
Fractional positions:
Rb1 0.231 0.250 0.052
Rb2 0.769 0.750 0.948
Ba1 0.211 0.250 0.555
Ba2 0.789 0.750 0.445
Na1 0.256 0.750 0.317
Na2 0.744 0.250 0.683
I1 0.007 0.505 0.726
I2 0.007 0.995 0.726
I3 0.475 0.750 0.138
I4 0.485 0.750 0.606
I5 0.515 0.250 0.394
I6 0.525 0.250 0.862
I7 0.993 0.005 0.274
I8 0.993 0.495 0.274

Peak list (10 most intense, 2θ = 15–90°, in order of rising 2θ)
2θ (°)	I/Imax
15.0	33
23.5	99
23.9	31
24.0	31
26.1	72
26.2	73
27.9	100
35.4	36
39.2	43
39.9	46

=====

4.
Diffraction record for BaNa2SrI6. The powder X-ray diffraction pattern is simulated, not measured: it uses DFT lattice parameters and positions (PBE) and copper Kα.

Unit cell a=8.931 b=8.931 c=8.931 alpha=55.84 beta=55.84 gamma=55.84
Fractional positions:
Ba1 0.000 0.000 0.000
Na1 0.301 0.301 0.301
Na2 0.805 0.805 0.805
Sr1 0.495 0.495 0.495
I1 0.083 0.682 0.429
I2 0.204 0.578 0.906
I3 0.429 0.083 0.682
I4 0.578 0.906 0.204
I5 0.682 0.429 0.083
I6 0.906 0.204 0.578

Peak list (10 most intense, 2θ = 15–90°, in order of rising 2θ)
2θ (°)	I/Imax
23.7	14
24.4	100
29.3	10
32.0	44
37.2	36
42.0	26
44.6	10
45.0	15
49.9	10
62.7	10

=====

5.
Diffraction record for BaNaTmI6. The powder X-ray diffraction pattern is simulated, not measured: it uses DFT lattice parameters and positions (PBE) and copper Kα.

Unit cell a=8.071 b=8.071 c=14.771 alpha=90.00 beta=90.00 gamma=120.00
Fractional positions:
Ba1 0.000 0.000 0.000
Ba2 0.000 0.000 0.500
Na1 0.333 0.667 0.250
Na2 0.667 0.333 0.750
Tm1 0.333 0.667 0.750
Tm2 0.667 0.333 0.250
I1 0.021 0.370 0.632
I2 0.021 0.651 0.868
I3 0.349 0.370 0.868
I4 0.349 0.979 0.632
I5 0.370 0.021 0.132
I6 0.370 0.349 0.368
I7 0.630 0.651 0.632
I8 0.630 0.979 0.868
I9 0.651 0.021 0.368
I10 0.651 0.630 0.132
I11 0.979 0.349 0.132
I12 0.979 0.630 0.368

Peak list (10 most intense, 2θ = 15–90°, in order of rising 2θ)
2θ (°)	I/Imax
17.5	33
25.1	100
32.9	61
36.1	16
38.6	46
43.0	23
46.7	14
51.6	15
64.4	17
66.3	14

=====

6.
Diffraction record for BaNa2UI8. The powder X-ray diffraction pattern is simulated, not measured: it uses DFT lattice parameters and positions (PBE) and copper Kα.

Unit cell a=7.488 b=9.856 c=7.788 alpha=90.00 beta=92.32 gamma=90.00
Fractional positions:
Ba1 0.000 0.000 0.000
Na1 0.500 0.238 0.500
Na2 0.500 0.762 0.500
U1 0.000 0.500 0.000
I1 0.231 0.284 0.841
I2 0.231 0.716 0.841
I3 0.251 0.500 0.313
I4 0.268 0.000 0.354
I5 0.732 0.000 0.646
I6 0.749 0.500 0.687
I7 0.769 0.284 0.159
I8 0.769 0.716 0.159

Peak list (10 most intense, 2θ = 15–90°, in order of rising 2θ)
2θ (°)	I/Imax
16.1	23
16.8	19
24.2	100
24.7	21
26.2	46
31.8	41
32.5	40
36.5	26
39.2	40
42.7	24

=====

7.
Diffraction record for BaNbI5O16. The powder X-ray diffraction pattern is simulated, not measured: it uses DFT lattice parameters and positions (PBE) and copper Kα.

Unit cell a=8.094 b=8.094 c=15.317 alpha=110.25 beta=110.25 gamma=56.26
Fractional positions:
Ba1 0.145 0.855 0.500
Ba2 0.855 0.145 0.000
Nb1 0.290 0.335 0.593
Nb2 0.335 0.290 0.093
I1 0.100 0.794 0.223
I2 0.286 0.635 0.834
I3 0.413 0.988 0.772
I4 0.519 0.783 0.112
I5 0.592 0.899 0.427
I6 0.635 0.286 0.334
I7 0.783 0.519 0.612
I8 0.794 0.100 0.723
I9 0.899 0.592 0.927
I10 0.988 0.413 0.272
O1 0.038 0.310 0.576
O2 0.058 0.387 0.006
O3 0.058 0.473 0.840
O4 0.063 0.882 0.854
O5 0.102 0.989 0.192
O6 0.172 0.418 0.227
O7 0.187 0.582 0.702
O8 0.215 0.485 0.511
O9 0.280 0.761 0.336
O10 0.295 0.573 0.148
O11 0.310 0.038 0.076
O12 0.387 0.058 0.506
O13 0.418 0.172 0.727
O14 0.439 0.797 0.661
O15 0.452 0.720 0.833
O16 0.464 0.616 0.006
O17 0.473 0.058 0.340
O18 0.485 0.215 0.011
O19 0.573 0.295 0.648
O20 0.582 0.187 0.202
O21 0.616 0.464 0.506
O22 0.678 0.886 0.835
O23 0.720 0.452 0.333
O24 0.726 0.775 0.089
O25 0.761 0.280 0.836
O26 0.768 0.984 0.504
O27 0.775 0.726 0.589
O28 0.797 0.439 0.161
O29 0.882 0.063 0.354
O30 0.886 0.678 0.335
O31 0.984 0.768 0.004
O32 0.989 0.102 0.692

Peak list (10 most intense, 2θ = 15–90°, in order of rising 2θ)
2θ (°)	I/Imax
23.5	23
24.6	53
25.0	45
25.4	100
26.2	41
26.5	91
27.2	20
42.8	22
48.1	22
49.5	20

=====

8.
Diffraction record for Ba2NdIO6. The powder X-ray diffraction pattern is simulated, not measured: it uses DFT lattice parameters and positions (PBE) and copper Kα.

Unit cell a=6.263 b=6.263 c=6.263 alpha=60.00 beta=60.00 gamma=60.00
Fractional positions:
Ba1 0.250 0.250 0.250
Ba2 0.750 0.750 0.750
Nd1 0.000 0.000 0.000
I1 0.500 0.500 0.500
O1 0.262 0.262 0.738
O2 0.262 0.738 0.262
O3 0.262 0.738 0.738
O4 0.738 0.262 0.262
O5 0.738 0.262 0.738
O6 0.738 0.738 0.262

Peak list (10 most intense, 2θ = 15–90°, in order of rising 2θ)
2θ (°)	I/Imax
20.1	1
28.5	100
35.1	1
40.8	30
50.5	41
59.0	19
66.8	18
74.2	6
81.3	22
88.3	3

=====

9.
Diffraction record for Ba3Ni3I. The powder X-ray diffraction pattern is simulated, not measured: it uses DFT lattice parameters and positions (PBE) and copper Kα.

Unit cell a=11.112 b=11.112 c=4.227 alpha=90.00 beta=90.00 gamma=120.00
Fractional positions:
Ba1 0.078 0.364 0.250
Ba2 0.286 0.922 0.250
Ba3 0.364 0.286 0.750
Ba4 0.636 0.714 0.250
Ba5 0.714 0.078 0.750
Ba6 0.922 0.636 0.750
Ni1 0.023 0.137 0.750
Ni2 0.115 0.977 0.750
Ni3 0.137 0.115 0.250
Ni4 0.863 0.885 0.750
Ni5 0.885 0.023 0.250
Ni6 0.977 0.863 0.250
I1 0.333 0.667 0.750
I2 0.667 0.333 0.250

Peak list (10 most intense, 2θ = 15–90°, in order of rising 2θ)
2θ (°)	I/Imax
24.5	72
26.5	100
27.8	61
28.1	99
32.5	49
33.6	44
38.8	40
39.9	60
42.8	36
46.4	64

=====

10.
Diffraction record for BaNiI6. The powder X-ray diffraction pattern is simulated, not measured: it uses DFT lattice parameters and positions (PBE) and copper Kα.

Unit cell a=6.927 b=7.504 c=8.232 alpha=115.57 beta=109.13 gamma=96.48
Fractional positions:
Ba1 0.000 0.000 0.000
Ni1 0.500 0.500 0.500
I1 0.201 0.530 0.160
I2 0.215 0.269 0.519
I3 0.444 0.824 0.749
I4 0.556 0.176 0.251
I5 0.785 0.731 0.481
I6 0.799 0.470 0.840

Peak list (10 most intense, 2θ = 15–90°, in order of rising 2θ)
2θ (°)	I/Imax
23.9	100
24.2	67
25.9	32
27.8	48
30.3	35
30.6	80
32.2	52
33.5	60
37.5	40
45.3	33

=====

11.
Diffraction record for Ba6I3O14. The powder X-ray diffraction pattern is simulated, not measured: it uses DFT lattice parameters and positions (PBE) and copper Kα.

Unit cell a=9.431 b=9.431 c=6.105 alpha=90.00 beta=90.00 gamma=120.00
Fractional positions:
Ba1 0.014 0.455 0.000
Ba2 0.282 0.220 0.477
Ba3 0.441 0.986 0.000
Ba4 0.545 0.559 0.000
Ba5 0.780 0.062 0.477
Ba6 0.938 0.718 0.477
I1 0.000 0.000 0.012
I2 0.333 0.667 0.556
I3 0.667 0.333 0.627
O1 0.000 0.000 0.661
O2 0.044 0.196 0.167
O3 0.151 0.956 0.167
O4 0.203 0.741 0.712
O5 0.259 0.462 0.712
O6 0.333 0.667 0.211
O7 0.465 0.263 0.826
O8 0.529 0.133 0.442
O9 0.538 0.797 0.712
O10 0.603 0.471 0.442
O11 0.737 0.202 0.826
O12 0.798 0.535 0.826
O13 0.804 0.849 0.167
O14 0.867 0.397 0.442

Peak list (10 most intense, 2θ = 15–90°, in order of rising 2θ)
2θ (°)	I/Imax
23.8	43
26.3	100
28.9	22
29.3	20
36.8	14
38.2	14
41.6	20
42.6	17
48.8	17
50.1	27

=====

Question: Number 7 is which compound?
Answer: BaNbI5O16